Computed powder diffraction line list of V16Bi3O32 for Cu Kα (λ = 1.5418 Å), from a DFT-relaxed cell (GGA+U, the Materials Project).

Crystal structure
Cell lengths 7.1927, 8.4802, 10.4493 Å; angles 99.45, 99.23, 96.46 degrees
Fractional positions:
1 V 0.0000 0.0000 0.0000
2 V 0.9996 0.2509 0.2497
3 V 0.2881 0.6222 0.2796
4 V 0.2899 0.8663 0.5320
5 V 0.2925 0.1182 0.7891
6 V 0.2919 0.3703 0.0321
7 V 0.6636 0.7661 0.4718
8 V 0.6664 0.5199 0.2240
9 V 0.6670 0.2723 0.9750
10 V 0.6680 0.0210 0.7210
11 V 0.9534 0.1391 0.5107
12 V 0.9548 0.8925 0.2583
13 V 0.9589 0.6401 0.0059
14 V 0.9603 0.3920 0.7562
15 V 0.9959 0.5008 0.5006
16 V 0.9991 0.7502 0.7529
17 Bi 0.4634 0.3158 0.5197
18 Bi 0.4704 0.0679 0.2487
19 Bi 0.4945 0.8087 0.9743
20 O 0.0929 0.2142 0.6894
21 O 0.1049 0.7163 0.1922
22 O 0.1047 0.9692 0.4478
23 O 0.1082 0.4588 0.9399
24 O 0.1156 0.5456 0.6914
25 O 0.1332 0.2985 0.4469
26 O 0.1392 0.0541 0.1959
27 O 0.1406 0.8045 0.9425
28 O 0.1812 0.8812 0.6948
29 O 0.1830 0.6489 0.4448
30 O 0.1903 0.1479 0.9528
31 O 0.1904 0.3996 0.1991
32 O 0.4311 0.1048 0.6263
33 O 0.4331 0.8488 0.3741
34 O 0.4386 0.5944 0.1283
35 O 0.4444 0.3370 0.8895
36 O 0.5161 0.5497 0.3775
37 O 0.5164 0.8087 0.6192
38 O 0.5220 0.2936 0.1339
39 O 0.5263 0.0341 0.8836
40 O 0.7658 0.7428 0.3084
41 O 0.7720 0.4924 0.0618
42 O 0.7737 0.9952 0.5485
43 O 0.7759 0.2511 0.8095
44 O 0.8138 0.8372 0.0602
45 O 0.8176 0.3314 0.5633
46 O 0.8248 0.0876 0.3159
47 O 0.8404 0.5905 0.8142
48 O 0.8455 0.6817 0.5664
49 O 0.8501 0.4297 0.3161
50 O 0.8532 0.1796 0.0659
51 O 0.8630 0.9222 0.8130

Peak list (10 most intense, 10° ≤ 2θ ≤ 90°, in order of falling intensity)
two_theta, I_rel
35.42, 100
28.27, 66
28.41, 61
28.13, 57
30.35, 52
35.30, 36
55.01, 35
25.12, 28
25.35, 25
58.07, 19